1.
Structure and theoretical powder diffraction line list of PtN (a structure optimized by DFT (GGA-PBE); a wavelength of 1.5418 Å).
Peak positions follow from Bragg's law for the DFT cell and can differ from measured ones.

```
data_PtN
_symmetry_space_group_name_H-M 'F -4 3 m'
_symmetry_Int_Tables_number 216
_symmetry_space_group_name_Hall 'F -4 2 3'
_cell_length_a 4.7815
_cell_length_b 4.7815
_cell_length_c 4.7815
_cell_angle_alpha 90.00
_cell_angle_beta 90.00
_cell_angle_gamma 90.00
loop_
_atom_site_label
_atom_site_fract_x
_atom_site_fract_y
_atom_site_fract_z
_atom_site_occupancy
Pt1 0.0000 0.0000 0.0000 1
N1 0.2500 0.2500 0.2500 1
```

Top 7 peaks for 15° ≤ 2θ ≤ 90°, in order of falling intensity:
2θ 32.43, 2.761 Å, I = 100; 2θ 37.62, 2.391 Å, I = 44; 2θ 64.65, 1.442 Å, I = 42; 2θ 54.26, 1.690 Å, I = 40; 2θ 89.30, 1.097 Å, I = 19; 2θ 67.91, 1.380 Å, I = 11; 2θ 80.32, 1.195 Å, I = 6



2.
Structure and theoretical powder diffraction line list of ErCoSn2 (a structure optimized by DFT (GGA-PBE); a wavelength of 1.5418 Å).
Peak positions follow from Bragg's law for the DFT cell and can differ from measured ones.

```
data_ErCoSn2
_symmetry_space_group_name_H-M 'C m c m'
_symmetry_Int_Tables_number 63
_symmetry_space_group_name_Hall '-C 2c 2'
_cell_length_a 4.3013
_cell_length_b 18.7933
_cell_length_c 4.3773
_cell_angle_alpha 90.00
_cell_angle_beta 90.00
_cell_angle_gamma 90.00
loop_
_atom_site_label
_atom_site_fract_x
_atom_site_fract_y
_atom_site_fract_z
_atom_site_occupancy
Er1 0.0000 0.1178 0.2500 1
Co1 0.0000 0.3233 0.2500 1
Sn1 0.0000 0.2510 0.7500 1
Sn2 0.0000 0.4521 0.2500 1
```

Top 10 peaks for 15° ≤ 2θ ≤ 90°, in order of falling intensity:
2θ 32.50, 2.755 Å, I = 100; 2θ 35.23, 2.547 Å, I = 31; 2θ 41.25, 2.189 Å, I = 26; 2θ 42.01, 2.151 Å, I = 24; 2θ 31.61, 2.830 Å, I = 19; 2θ 60.34, 1.534 Å, I = 17; 2θ 55.96, 1.643 Å, I = 17; 2θ 48.46, 1.879 Å, I = 16; 2θ 65.48, 1.426 Å, I = 13; 2θ 62.21, 1.492 Å, I = 12



3.
Structure and theoretical powder diffraction line list of Co3Sn2 (a structure optimized by DFT (GGA-PBE); a wavelength of 1.5418 Å).
Peak positions follow from Bragg's law for the DFT cell and can differ from measured ones.

```
data_Co3Sn2
_symmetry_space_group_name_H-M 'P n m a'
_symmetry_Int_Tables_number 62
_cell_length_a 7.0096
_cell_length_b 5.2471
_cell_length_c 8.1743
_cell_angle_alpha 90.00
_cell_angle_beta 90.00
_cell_angle_gamma 90.00
loop_
_symmetry_equiv_pos_as_xyz
'x,y,z'
'-x,-y,-z'
'-x+1/2,-y,z+1/2'
'x+1/2,y,-z+1/2'
'x+1/2,-y+1/2,-z+1/2'
'-x+1/2,y+1/2,z+1/2'
'-x,y+1/2,-z'
'x,-y+1/2,z'
loop_
_atom_site_label
_atom_site_fract_x
_atom_site_fract_y
_atom_site_fract_z
_atom_site_occupancy
Co1 0.0835 0.2500 0.1258 1
Co2 0.2340 0.5088 0.8774 1
Sn1 0.0615 0.7500 0.5922 1
Sn2 0.1009 0.7500 0.1478 1
```

Top 10 peaks for 15° ≤ 2θ ≤ 90°, in order of falling intensity:
2θ 42.95, 2.106 Å, I = 100; 2θ 44.67, 2.028 Å, I = 98; 2θ 30.52, 2.929 Å, I = 73; 2θ 43.07, 2.100 Å, I = 54; 2θ 44.33, 2.044 Å, I = 45; 2θ 30.68, 2.914 Å, I = 39; 2θ 88.83, 1.102 Å, I = 27; 2θ 63.52, 1.465 Å, I = 25; 2θ 34.18, 2.624 Å, I = 22; 2θ 58.96, 1.567 Å, I = 19